NdAlO3: calculated X-ray powder pattern (CuKα), based on a DFT-relaxed cell (GGA-PBE, the Materials Project).
Neutral-atom scattering factors, no anomalous dispersion.

Peak list (6 most intense, 2θ = 10–90°, low angle first)
2θ (°)	d/Å	Rel. int.
23.49	3.788	100
33.30	2.691	95
33.61	2.667	97
41.15	2.194	57
48.04	1.894	64
59.70	1.549	40

Structure:
```
NdAlO3
1.0
2.6906 1.5534 4.3351
-2.6906 1.5534 4.3351
0.0000 -3.1069 4.3351
Nd Al O
2 2 6
direct
0.2500 0.2500 0.2500
0.7500 0.7500 0.7500
0.0000 0.0000 0.0000
0.5000 0.5000 0.5000
0.1966 0.7500 0.3034
0.2500 0.6966 0.8034
0.3034 0.1966 0.7500
0.6966 0.8034 0.2500
0.7500 0.3034 0.1966
0.8034 0.2500 0.6966
```